Structure and simulated XRD peak list of MnH11C5NO6 (the PBE+U geometry in Alexandria; Cu Kα X-rays).
Neutral-atom scattering factors, no anomalous dispersion.

Peak list (10 most intense, 2θ = 10–90°, by angle)
2θ (°), I/Imax
14.1, 73
14.4, 100
19.2, 68
19.9, 41
21.0, 29
21.1, 36
24.4, 28
29.0, 32
30.6, 34
31.8, 29

Structure:
```
MnH11C5NO6
1.0
7.2621 -4.2366 0.0000
7.2621 4.2366 0.0000
-4.5043 0.0000 7.8321
Mn H C N O
2 22 10 2 12
Direct
0.2467 0.7533 0.5000
0.7533 0.2467 0.0000
0.0414 0.8966 0.1578
0.0457 0.4619 0.5647
0.1175 0.2445 0.7148
0.1316 0.4606 0.9989
0.1942 0.5271 0.8742
0.2445 0.1175 0.2148
0.3329 0.8896 0.9658
0.3699 0.8966 0.2514
0.4252 0.5133 0.7698
0.4606 0.1316 0.4989
0.4619 0.0457 0.0647
0.5133 0.4252 0.2698
0.5271 0.1942 0.3742
0.5759 0.8102 0.0892
0.5938 0.9000 0.7440
0.6541 0.9626 0.4064
0.8102 0.5759 0.5892
0.8896 0.3329 0.4658
0.8966 0.0414 0.6578
0.8966 0.3699 0.7514
0.9000 0.5938 0.2440
0.9626 0.6541 0.9064
0.0350 0.4669 0.2494
0.0788 0.5147 0.8892
0.4416 0.9332 0.0766
0.4669 0.0350 0.7494
0.4961 0.5509 0.2438
0.5147 0.0788 0.3892
0.5509 0.4961 0.7438
0.9332 0.4416 0.5766
0.9386 0.9830 0.2358
0.9830 0.9386 0.7358
0.0068 0.3798 0.7329
0.3798 0.0068 0.2329
0.0216 0.3046 0.1671
0.1176 0.7911 0.6845
0.1901 0.4907 0.3351
0.3046 0.0216 0.6671
0.3908 0.7141 0.3181
0.4907 0.1901 0.8351
0.5248 0.5808 0.6440
0.5808 0.5248 0.1440
0.7141 0.3908 0.8181
0.7911 0.1176 0.1845
0.9399 0.9773 0.8692
0.9773 0.9399 0.3692
```